(1)
Theoretical X-ray diffraction stick pattern of Cs13Na2 for Cu Kα, 1.54184 Å, from a crystal structure in Alexandria, relaxed with GGA-PBE.
No peak broadening, texture or thermal motion is included.

Atomic structure:
```
data_Cs13Na2
_symmetry_space_group_name_H-M 'R -3 m'
_symmetry_Int_Tables_number 166
_symmetry_space_group_name_Hall '-R 3 2"'
_cell_length_a 13.7761
_cell_length_b 13.7761
_cell_length_c 29.5425
_cell_angle_alpha 90.00
_cell_angle_beta 90.00
_cell_angle_gamma 120.00
loop_
_atom_site_label
_atom_site_type_symbol
_atom_site_fract_x
_atom_site_fract_y
_atom_site_fract_z
Cs1 Cs 0.0000 0.0000 0.0000
Cs2 Cs 0.0720 0.5360 0.2385
Cs3 Cs 0.0821 0.5410 0.4166
Na1 Na 0.0000 0.0000 0.1394
```

Largest 6 diffraction maxima, most intense first, 10 to 80 degrees two-theta:
| 2theta | I_rel | h k l |
| --- | --- | --- |
| 19.9 | 100 | 2 1 1 |
| 18.0 | 47 | 0 0 6 |
| 21.2 | 42 | 2 0 5 |
| 28.9 | 38 | 0 3 6 |
| 39.2 | 35 | 3 3 0 |
| 24.8 | 34 | 1 2 5 |



(2)
Theoretical X-ray diffraction stick pattern of CsNa12 for Cu Kα, 1.54184 Å, from a crystal structure in Alexandria, relaxed with GGA-PBE.
No peak broadening, texture or thermal motion is included.

Atomic structure:
```
data_CsNa12
_symmetry_space_group_name_H-M 'I 4/m m m'
_symmetry_Int_Tables_number 139
_symmetry_space_group_name_Hall '-I 4 2'
_cell_length_a 12.6300
_cell_length_b 12.6300
_cell_length_c 6.9143
_cell_angle_alpha 90.00
_cell_angle_beta 90.00
_cell_angle_gamma 90.00
loop_
_atom_site_label
_atom_site_type_symbol
_atom_site_fract_x
_atom_site_fract_y
_atom_site_fract_z
Cs1 Cs 0.0000 0.0000 0.0000
Na1 Na 0.0000 0.2247 0.5000
Na2 Na 0.0000 0.3614 0.0000
Na3 Na 0.2500 0.2500 0.2500
```

Largest 6 diffraction maxima, most intense first, 10 to 80 degrees two-theta:
| 2theta | I_rel | h k l |
| --- | --- | --- |
| 28.6 | 100 | 3 2 1 |
| 20.3 | 70 | 2 1 1 |
| 29.5 | 63 | 2 0 2 |
| 24.8 | 50 | 3 0 1 |
| 28.3 | 48 | 4 0 0 |
| 14.6 | 36 | 1 0 1 |



(3)
Theoretical X-ray diffraction stick pattern of Cs8Na3 for Cu Kα, 1.54184 Å, from a crystal structure in Alexandria, relaxed with GGA-PBE.
No peak broadening, texture or thermal motion is included.

Atomic structure:
```
data_Cs8Na3
_symmetry_space_group_name_H-M 'R -3'
_symmetry_Int_Tables_number 148
_symmetry_space_group_name_Hall '-R 3'
_cell_length_a 14.1487
_cell_length_b 14.1487
_cell_length_c 18.4996
_cell_angle_alpha 90.00
_cell_angle_beta 90.00
_cell_angle_gamma 120.00
loop_
_atom_site_label
_atom_site_type_symbol
_atom_site_fract_x
_atom_site_fract_y
_atom_site_fract_z
Cs1 Cs 0.0000 0.0000 0.1388
Cs2 Cs 0.0412 0.7907 0.6141
Na1 Na 0.0000 0.5000 0.5000
```

Largest 6 diffraction maxima, most intense first, 10 to 80 degrees two-theta:
| 2theta | I_rel | h k l |
| --- | --- | --- |
| 19.8 | 100 | 3 -1 1 |
| 19.1 | 54 | 1 1 3 |
| 21.5 | 46 | 1 2 2 |
| 20.5 | 38 | 1 0 4 |
| 33.5 | 29 | 4 1 0 |
| 39.2 | 22 | 2 4 1 |